(1)
Starting from the GGA+U geometry in the Materials Project, the powder XRD pattern of MnTlOF4 was simulated for CuKα.

Most intense lines, 2θ = 5–70°, low angle first:
2θ (°)	d (Å)	I_rel
12.93	6.845	38
17.98	4.933	38
23.56	3.776	68
26.14	3.409	53
26.66	3.343	100
29.58	3.020	47
36.08	2.489	34
38.92	2.314	47

Atomic structure:
```
data_MnTlOF4
_cell_length_a 7.798
_cell_length_b 7.798
_cell_length_c 10.108
_cell_angle_alpha 101.29
_cell_angle_beta 101.29
_cell_angle_gamma 51.85
_symmetry_space_group_name_H-M 'P 1'
_symmetry_Int_Tables_number 1
_symmetry_space_group_name_Hall 'P 1'
loop_
_atom_site_label
_atom_site_fract_x
_atom_site_fract_y
_atom_site_fract_z
Mn1 0.000 0.500 0.500
Mn2 0.246 0.754 0.750
Mn3 0.500 0.000 0.000
Mn4 0.754 0.246 0.250
Tl1 0.172 0.660 0.069
Tl2 0.340 0.828 0.431
Tl3 0.660 0.172 0.569
Tl4 0.828 0.340 0.931
O1 0.029 0.442 0.671
O2 0.442 0.029 0.171
O3 0.558 0.971 0.829
O4 0.971 0.558 0.329
F1 0.011 0.114 0.170
F2 0.114 0.011 0.670
F3 0.139 0.635 0.560
F4 0.232 0.268 0.972
F5 0.268 0.232 0.472
F6 0.365 0.861 0.940
F7 0.377 0.497 0.829
F8 0.497 0.377 0.329
F9 0.503 0.623 0.671
F10 0.623 0.503 0.171
F11 0.635 0.139 0.060
F12 0.732 0.768 0.528
F13 0.768 0.732 0.028
F14 0.861 0.365 0.440
F15 0.886 0.989 0.330
F16 0.989 0.886 0.830
```



(2)
Starting from the GGA+U geometry in the Materials Project, the powder XRD pattern of MgFe6O4F8 was simulated for CuKα.

Most intense lines, 2θ = 5–70°, low angle first:
2θ (°)	d (Å)	I_rel
26.40	3.376	100
29.76	3.002	13
31.65	2.827	16
33.04	2.711	15
36.26	2.477	12
39.29	2.293	17
45.57	1.991	10
54.37	1.687	26

Atomic structure:
```
data_MgFe6O4F8
_cell_length_a 5.757
_cell_length_b 6.028
_cell_length_c 7.542
_cell_angle_alpha 76.56
_cell_angle_beta 74.12
_cell_angle_gamma 69.95
_symmetry_space_group_name_H-M 'P 1'
_symmetry_Int_Tables_number 1
_symmetry_space_group_name_Hall 'P 1'
loop_
_atom_site_label
_atom_site_fract_x
_atom_site_fract_y
_atom_site_fract_z
Mg1 0.000 0.000 0.000
Fe1 0.240 0.746 0.515
Fe2 0.417 0.539 0.022
Fe3 0.458 0.049 0.213
Fe4 0.545 0.158 0.658
Fe5 0.859 0.500 0.315
Fe6 0.960 0.483 0.812
O1 0.204 0.358 0.197
O2 0.235 0.190 0.832
O3 0.546 0.459 0.496
O4 0.781 0.805 0.172
F1 0.152 0.728 0.833
F2 0.247 0.840 0.178
F3 0.445 0.989 0.504
F4 0.630 0.736 0.841
F5 0.707 0.220 0.852
F6 0.771 0.331 0.133
F7 0.912 0.022 0.535
F8 0.987 0.555 0.523
```